Entry 1:
This entry pairs a crystal structure of PrY2Sc2 with its computed XRD peak list. Radiation: Cu Kα, 1.54184 Å. Structure: a structure optimized by DFT (PBE).
Lines closer than 0.1° are merged.

Structure:
Cell: 8.3438 8.3438 8.3438 Å, 148.94 148.94 44.49°
Sites, in units of the cell vectors:
Pr  0.0000  0.0000  0.0000
Y  0.2508  0.7508  0.5000
Y  0.7508  0.2508  0.5000
Sc  0.4083  0.4083  0.0000
Sc  0.5930  0.5930  0.0000

Largest 12 diffraction maxima, in order of rising 2θ, 10 to 90 degrees two-theta:
d/Å, 2theta, Rel. int.
3.861, 23.03, 27.2
3.374, 26.41, 27.8
2.924, 30.58, 100.0
2.541, 35.33, 27.4
2.234, 40.38, 30.4
1.996, 45.45, 14.8
1.979, 45.85, 11.9
1.933, 47.01, 21.9
1.678, 54.71, 14.9
1.461, 63.69, 15.7
1.390, 67.39, 19.5
1.388, 67.50, 12.0

=====

Entry 2:
This entry pairs a crystal structure of Pr2Se3 with its computed XRD peak list. Radiation: Cu Kα, 1.54184 Å. Structure: a structure optimized by DFT (PBE).
Lines closer than 0.1° are merged.

Structure:
Cell: 14.1635 13.5288 7.4113 Å, 79.27 69.80 30.94°
Sites, in units of the cell vectors:
Pr  0.0403  0.0403  0.2097
Pr  0.1292  0.1292  0.6208
Pr  0.2097  0.2097  0.0403
Pr  0.3792  0.3792  0.8708
Pr  0.6208  0.6208  0.1292
Pr  0.7903  0.7903  0.9597
Pr  0.8708  0.8708  0.3792
Pr  0.9597  0.9597  0.7903
Se  0.0525  0.5371  0.1906
Se  0.1129  0.6371  0.6371
Se  0.1906  0.7198  0.0525
Se  0.2802  0.8094  0.4629
Se  0.3629  0.8871  0.8871
Se  0.4629  0.9475  0.2802
Se  0.5371  0.0525  0.7198
Se  0.6371  0.1129  0.1129
Se  0.7198  0.1906  0.5371
Se  0.8094  0.2802  0.9475
Se  0.8871  0.3629  0.3629
Se  0.9475  0.4629  0.8094

Largest 12 diffraction maxima, in order of rising 2θ, 10 to 90 degrees two-theta:
d/Å, 2theta, Rel. int.
6.772, 13.07, 44.7
4.141, 21.46, 14.8
3.039, 29.39, 100.0
3.010, 29.68, 49.7
2.161, 41.81, 18.7
2.138, 42.27, 91.6
1.755, 52.10, 19.6
1.742, 52.52, 18.9
1.356, 69.27, 15.8
1.349, 69.72, 16.5
1.243, 76.65, 12.4
1.234, 77.30, 17.3

=====

Number 1 is which compound? PrY2Sc2

=====

Repeat the first record exactly.
This entry pairs a crystal structure of PrY2Sc2 with its computed XRD peak list. Radiation: Cu Kα, 1.54184 Å. Structure: a structure optimized by DFT (PBE).
Lines closer than 0.1° are merged.

Structure:
Cell: 8.3438 8.3438 8.3438 Å, 148.94 148.94 44.49°
Sites, in units of the cell vectors:
Pr  0.0000  0.0000  0.0000
Y  0.2508  0.7508  0.5000
Y  0.7508  0.2508  0.5000
Sc  0.4083  0.4083  0.0000
Sc  0.5930  0.5930  0.0000

Largest 12 diffraction maxima, in order of rising 2θ, 10 to 90 degrees two-theta:
d/Å, 2theta, Rel. int.
3.861, 23.03, 27.2
3.374, 26.41, 27.8
2.924, 30.58, 100.0
2.541, 35.33, 27.4
2.234, 40.38, 30.4
1.996, 45.45, 14.8
1.979, 45.85, 11.9
1.933, 47.01, 21.9
1.678, 54.71, 14.9
1.461, 63.69, 15.7
1.390, 67.39, 19.5
1.388, 67.50, 12.0